For SrNi2Ge2, the GGA-PBE geometry in the Materials Project gives the theoretical X-ray powder pattern in this record (copper Kα).
Lines closer than 0.1° are merged.

Cell and atoms:
Lattice parameters (Å, degrees): 4.193 4.193 10.299 90.00 90.00 90.00
Fractional positions:
Sr (0.000, 0.000, 0.000)
Sr (0.500, 0.500, 0.500)
Ni (0.000, 0.500, 0.250)
Ni (0.000, 0.500, 0.750)
Ni (0.500, 0.000, 0.250)
Ni (0.500, 0.000, 0.750)
Ge (0.000, 0.000, 0.360)
Ge (0.000, 0.000, 0.640)
Ge (0.500, 0.500, 0.140)
Ge (0.500, 0.500, 0.860)

Peak list (10 most intense, 10° ≤ 2θ ≤ 80°, by intensity)
2θ 33.74, I = 100.0; 2θ 34.92, I = 70.8; 2θ 43.15, I = 69.9; 2θ 55.87, I = 46.1; 2θ 46.73, I = 30.5; 2θ 62.53, I = 29.3; 2θ 62.67, I = 22.1; 2θ 30.14, I = 16.1; 2θ 73.79, I = 14.9; 2θ 17.22, I = 14.3



For Ta6Ni16Ge7, the GGA-PBE geometry in the Materials Project gives the theoretical X-ray powder pattern in this record (copper Kα).
Lines closer than 0.1° are merged.

Cell and atoms:
Lattice parameters (Å, degrees): 8.109 8.109 8.109 60.00 60.00 60.00
Fractional positions:
Ta (0.199, 0.199, 0.801)
Ta (0.199, 0.801, 0.199)
Ta (0.199, 0.801, 0.801)
Ta (0.801, 0.199, 0.199)
Ta (0.801, 0.199, 0.801)
Ta (0.801, 0.801, 0.199)
Ni (0.148, 0.617, 0.617)
Ni (0.166, 0.166, 0.166)
Ni (0.166, 0.166, 0.502)
Ni (0.166, 0.502, 0.166)
Ni (0.383, 0.383, 0.383)
Ni (0.383, 0.383, 0.852)
Ni (0.383, 0.852, 0.383)
Ni (0.498, 0.834, 0.834)
Ni (0.502, 0.166, 0.166)
Ni (0.617, 0.148, 0.617)
Ni (0.617, 0.617, 0.148)
Ni (0.617, 0.617, 0.617)
Ni (0.834, 0.498, 0.834)
Ni (0.834, 0.834, 0.498)
Ni (0.834, 0.834, 0.834)
Ni (0.852, 0.383, 0.383)
Ge (0.000, 0.000, 0.500)
Ge (0.000, 0.500, 0.000)
Ge (0.000, 0.500, 0.500)
Ge (0.500, 0.000, 0.000)
Ge (0.500, 0.000, 0.500)
Ge (0.500, 0.500, 0.000)
Ge (0.500, 0.500, 0.500)

Peak list (10 most intense, 10° ≤ 2θ ≤ 80°, by intensity)
2θ 40.89, I = 100.0; 2θ 44.70, I = 89.4; 2θ 38.46, I = 35.1; 2θ 69.56, I = 25.5; 2θ 34.08, I = 22.8; 2θ 62.18, I = 19.5; 2θ 47.58, I = 17.6; 2θ 31.20, I = 12.6; 2θ 71.21, I = 12.4; 2θ 26.93, I = 11.9



For Tb3NiGe2, the GGA-PBE geometry in the Materials Project gives the theoretical X-ray powder pattern in this record (copper Kα).
Lines closer than 0.1° are merged.

Cell and atoms:
Lattice parameters (Å, degrees): 11.420 4.186 11.276 90.00 90.00 90.00
Fractional positions:
Tb (0.055, 0.250, 0.127)
Tb (0.118, 0.750, 0.559)
Tb (0.220, 0.250, 0.805)
Tb (0.280, 0.750, 0.305)
Tb (0.382, 0.250, 0.059)
Tb (0.445, 0.750, 0.627)
Tb (0.555, 0.250, 0.373)
Tb (0.618, 0.750, 0.941)
Tb (0.720, 0.250, 0.695)
Tb (0.780, 0.750, 0.195)
Tb (0.882, 0.250, 0.441)
Tb (0.945, 0.750, 0.873)
Ni (0.127, 0.250, 0.371)
Ni (0.373, 0.750, 0.871)
Ni (0.627, 0.250, 0.129)
Ni (0.873, 0.750, 0.629)
Ge (0.019, 0.750, 0.312)
Ge (0.194, 0.750, 0.001)
Ge (0.306, 0.250, 0.501)
Ge (0.481, 0.250, 0.812)
Ge (0.519, 0.750, 0.188)
Ge (0.694, 0.750, 0.499)
Ge (0.806, 0.250, 0.999)
Ge (0.981, 0.250, 0.688)

Peak list (10 most intense, 10° ≤ 2θ ≤ 80°, by intensity)
2θ 32.00, I = 100.0; 2θ 35.64, I = 82.4; 2θ 32.75, I = 82.1; 2θ 43.23, I = 64.9; 2θ 30.87, I = 56.5; 2θ 27.59, I = 52.9; 2θ 28.29, I = 50.1; 2θ 39.02, I = 46.9; 2θ 32.98, I = 33.1; 2θ 32.35, I = 32.9



For Ti6Ni16Ge7, the GGA-PBE geometry in the Materials Project gives the theoretical X-ray powder pattern in this record (copper Kα).
Lines closer than 0.1° are merged.

Cell and atoms:
Lattice parameters (Å, degrees): 8.069 8.069 8.069 60.00 60.00 60.00
Fractional positions:
Ti (0.197, 0.197, 0.803)
Ti (0.197, 0.803, 0.197)
Ti (0.197, 0.803, 0.803)
Ti (0.803, 0.197, 0.197)
Ti (0.803, 0.197, 0.803)
Ti (0.803, 0.803, 0.197)
Ni (0.147, 0.618, 0.618)
Ni (0.165, 0.165, 0.165)
Ni (0.165, 0.165, 0.505)
Ni (0.165, 0.505, 0.165)
Ni (0.382, 0.382, 0.382)
Ni (0.382, 0.382, 0.853)
Ni (0.382, 0.853, 0.382)
Ni (0.495, 0.835, 0.835)
Ni (0.505, 0.165, 0.165)
Ni (0.618, 0.147, 0.618)
Ni (0.618, 0.618, 0.147)
Ni (0.618, 0.618, 0.618)
Ni (0.835, 0.495, 0.835)
Ni (0.835, 0.835, 0.495)
Ni (0.835, 0.835, 0.835)
Ni (0.853, 0.382, 0.382)
Ge (0.000, 0.000, 0.500)
Ge (0.000, 0.500, 0.000)
Ge (0.000, 0.500, 0.500)
Ge (0.500, 0.000, 0.000)
Ge (0.500, 0.000, 0.500)
Ge (0.500, 0.500, 0.000)
Ge (0.500, 0.500, 0.500)

Peak list (10 most intense, 10° ≤ 2θ ≤ 80°, by intensity)
2θ 44.93, I = 100.0; 2θ 41.10, I = 47.2; 2θ 47.11, I = 24.1; 2θ 53.24, I = 20.3; 2θ 38.65, I = 13.0; 2θ 13.44, I = 11.7; 2θ 15.53, I = 11.5; 2θ 75.97, I = 9.8; 2θ 69.95, I = 9.1; 2θ 27.07, I = 8.9



For TmNiGe, the GGA-PBE geometry in the Materials Project gives the theoretical X-ray powder pattern in this record (copper Kα).
Lines closer than 0.1° are merged.

Cell and atoms:
Lattice parameters (Å, degrees): 10.131 4.114 6.774 90.00 131.74 90.00
Fractional positions:
Tm (0.050, 0.000, 0.310)
Tm (0.450, 0.500, 0.690)
Tm (0.550, 0.500, 0.310)
Tm (0.950, 0.000, 0.690)
Ni (0.169, 0.500, 0.720)
Ni (0.331, 0.000, 0.280)
Ni (0.669, 0.000, 0.720)
Ni (0.831, 0.500, 0.280)
Ge (0.170, 0.500, 0.104)
Ge (0.330, 0.000, 0.896)
Ge (0.670, 0.000, 0.104)
Ge (0.830, 0.500, 0.896)

Peak list (10 most intense, 10° ≤ 2θ ≤ 80°, by intensity)
2θ 36.35, I = 100.0; 2θ 34.85, I = 51.9; 2θ 42.05, I = 43.5; 2θ 44.02, I = 31.8; 2θ 35.66, I = 27.9; 2θ 24.64, I = 25.6; 2θ 57.85, I = 21.6; 2θ 41.73, I = 20.5; 2θ 38.09, I = 19.5; 2θ 35.52, I = 16.4



For TmNi2Ge2, the GGA-PBE geometry in the Materials Project gives the theoretical X-ray powder pattern in this record (copper Kα).
Lines closer than 0.1° are merged.

Cell and atoms:
Lattice parameters (Å, degrees): 4.036 4.036 9.775 90.00 90.00 90.00
Fractional positions:
Tm (0.000, 0.000, 0.000)
Tm (0.500, 0.500, 0.500)
Ni (0.000, 0.500, 0.250)
Ni (0.000, 0.500, 0.750)
Ni (0.500, 0.000, 0.250)
Ni (0.500, 0.000, 0.750)
Ge (0.000, 0.000, 0.373)
Ge (0.000, 0.000, 0.627)
Ge (0.500, 0.500, 0.127)
Ge (0.500, 0.500, 0.873)

Peak list (10 most intense, 10° ≤ 2θ ≤ 80°, by intensity)
2θ 36.46, I = 100.0; 2θ 35.41, I = 97.3; 2θ 44.92, I = 64.2; 2θ 58.46, I = 45.5; 2θ 31.35, I = 30.4; 2θ 51.98, I = 29.8; 2θ 71.09, I = 23.2; 2θ 77.27, I = 21.2; 2θ 65.41, I = 20.3; 2θ 66.04, I = 18.8



For TmNiGe, the GGA-PBE geometry in the Materials Project gives the theoretical X-ray powder pattern in this record (copper Kα).
Lines closer than 0.1° are merged.

Cell and atoms:
Lattice parameters (Å, degrees): 6.811 4.195 7.253 90.00 90.00 90.00
Fractional positions:
Tm (0.007, 0.250, 0.207)
Tm (0.493, 0.750, 0.707)
Tm (0.507, 0.250, 0.293)
Tm (0.993, 0.750, 0.793)
Ni (0.195, 0.750, 0.418)
Ni (0.305, 0.250, 0.918)
Ni (0.695, 0.750, 0.082)
Ni (0.805, 0.250, 0.582)
Ge (0.198, 0.250, 0.589)
Ge (0.302, 0.750, 0.089)
Ge (0.698, 0.250, 0.911)
Ge (0.802, 0.750, 0.411)

Peak list (10 most intense, 10° ≤ 2θ ≤ 80°, by intensity)
2θ 36.17, I = 100.0; 2θ 43.16, I = 51.8; 2θ 35.27, I = 26.1; 2θ 24.52, I = 22.1; 2θ 57.54, I = 18.7; 2θ 59.99, I = 15.1; 2θ 70.10, I = 13.0; 2θ 74.53, I = 12.0; 2θ 41.68, I = 10.9; 2θ 39.56, I = 8.4



For TmNiGe3, the GGA-PBE geometry in the Materials Project gives the theoretical X-ray powder pattern in this record (copper Kα).
Lines closer than 0.1° are merged.

Cell and atoms:
Lattice parameters (Å, degrees): 10.968 10.968 4.053 90.00 90.00 158.55
Fractional positions:
Tm (0.169, 0.831, 0.000)
Tm (0.831, 0.169, 0.000)
Ni (0.388, 0.612, 0.500)
Ni (0.612, 0.388, 0.500)
Ge (0.058, 0.942, 0.500)
Ge (0.283, 0.717, 0.500)
Ge (0.443, 0.557, 0.000)
Ge (0.557, 0.443, 0.000)
Ge (0.717, 0.283, 0.500)
Ge (0.942, 0.058, 0.500)

Peak list (10 most intense, 10° ≤ 2θ ≤ 80°, by intensity)
2θ 33.56, I = 100.0; 2θ 33.31, I = 36.1; 2θ 44.38, I = 24.3; 2θ 44.72, I = 23.7; 2θ 43.83, I = 22.0; 2θ 64.82, I = 16.6; 2θ 56.60, I = 15.8; 2θ 64.40, I = 13.7; 2θ 74.78, I = 13.7; 2θ 37.59, I = 13.2



For Tm3Ni11Ge4, the GGA-PBE geometry in the Materials Project gives the theoretical X-ray powder pattern in this record (copper Kα).
Lines closer than 0.1° are merged.

Cell and atoms:
Lattice parameters (Å, degrees): 8.267 8.267 8.537 90.00 90.00 120.00
Fractional positions:
Tm (0.196, 0.391, 0.250)
Tm (0.196, 0.804, 0.250)
Tm (0.391, 0.196, 0.750)
Tm (0.609, 0.804, 0.250)
Tm (0.804, 0.196, 0.750)
Tm (0.804, 0.609, 0.750)
Ni (0.130, 0.565, 0.750)
Ni (0.156, 0.313, 0.595)
Ni (0.156, 0.313, 0.905)
Ni (0.156, 0.844, 0.595)
Ni (0.156, 0.844, 0.905)
Ni (0.313, 0.156, 0.095)
Ni (0.313, 0.156, 0.405)
Ni (0.333, 0.667, 0.502)
Ni (0.333, 0.667, 0.998)
Ni (0.435, 0.565, 0.750)
Ni (0.435, 0.870, 0.750)
Ni (0.565, 0.130, 0.250)
Ni (0.565, 0.435, 0.250)
Ni (0.667, 0.333, 0.002)
Ni (0.667, 0.333, 0.498)
Ni (0.687, 0.844, 0.595)
Ni (0.687, 0.844, 0.905)
Ni (0.844, 0.156, 0.095)
Ni (0.844, 0.156, 0.405)
Ni (0.844, 0.687, 0.095)
Ni (0.844, 0.687, 0.405)
Ni (0.870, 0.435, 0.250)
Ge (0.000, 0.000, 0.250)
Ge (0.000, 0.000, 0.750)
Ge (0.000, 0.500, 0.000)
Ge (0.000, 0.500, 0.500)
Ge (0.500, 0.000, 0.000)
Ge (0.500, 0.000, 0.500)
Ge (0.500, 0.500, 0.000)
Ge (0.500, 0.500, 0.500)

Peak list (10 most intense, 10° ≤ 2θ ≤ 80°, by intensity)
2θ 40.49, I = 100.0; 2θ 43.80, I = 89.7; 2θ 39.43, I = 77.7; 2θ 39.20, I = 61.3; 2θ 27.01, I = 26.3; 2θ 69.21, I = 21.9; 2θ 42.35, I = 19.8; 2θ 46.30, I = 16.9; 2θ 65.63, I = 16.6; 2θ 49.87, I = 15.8



For Tm2NiGe6, the GGA-PBE geometry in the Materials Project gives the theoretical X-ray powder pattern in this record (copper Kα).
Lines closer than 0.1° are merged.

Cell and atoms:
Lattice parameters (Å, degrees): 4.021 10.794 10.794 21.34 90.00 90.00
Fractional positions:
Tm (0.000, 0.000, 0.000)
Tm (0.000, 0.337, 0.337)
Ni (0.500, 0.557, 0.557)
Ge (0.000, 0.615, 0.615)
Ge (0.000, 0.733, 0.733)
Ge (0.500, 0.115, 0.115)
Ge (0.500, 0.234, 0.234)
Ge (0.500, 0.450, 0.450)
Ge (0.500, 0.875, 0.875)

Peak list (10 most intense, 10° ≤ 2θ ≤ 80°, by intensity)
2θ 34.08, I = 100.0; 2θ 33.78, I = 38.2; 2θ 38.18, I = 24.0; 2θ 45.10, I = 23.0; 2θ 45.38, I = 22.6; 2θ 57.77, I = 22.1; 2θ 44.63, I = 17.6; 2θ 65.90, I = 16.3; 2θ 76.13, I = 15.6; 2θ 43.73, I = 13.3



For UNiGe, the GGA-PBE geometry in the Materials Project gives the theoretical X-ray powder pattern in this record (copper Kα).
Lines closer than 0.1° are merged.

Cell and atoms:
Lattice parameters (Å, degrees): 9.809 4.169 6.669 90.00 129.81 90.00
Fractional positions:
U (0.051, 0.000, 0.326)
U (0.449, 0.500, 0.674)
U (0.551, 0.500, 0.326)
U (0.949, 0.000, 0.674)
Ni (0.163, 0.500, 0.714)
Ni (0.337, 0.000, 0.286)
Ni (0.663, 0.000, 0.714)
Ni (0.837, 0.500, 0.286)
Ge (0.164, 0.500, 0.100)
Ge (0.336, 0.000, 0.900)
Ge (0.664, 0.000, 0.100)
Ge (0.836, 0.500, 0.900)

Peak list (10 most intense, 10° ≤ 2θ ≤ 80°, by intensity)
2θ 36.98, I = 100.0; 2θ 36.06, I = 61.1; 2θ 24.40, I = 51.7; 2θ 41.99, I = 46.4; 2θ 34.31, I = 45.3; 2θ 43.41, I = 39.2; 2θ 35.29, I = 24.4; 2θ 61.84, I = 24.3; 2θ 41.82, I = 21.9; 2θ 58.28, I = 19.1



Number 5 is which compound?
TmNiGe



Repeat the sixth record exactly.
For TmNi2Ge2, the GGA-PBE geometry in the Materials Project gives the theoretical X-ray powder pattern in this record (copper Kα).
Lines closer than 0.1° are merged.

Cell and atoms:
Lattice parameters (Å, degrees): 4.036 4.036 9.775 90.00 90.00 90.00
Fractional positions:
Tm (0.000, 0.000, 0.000)
Tm (0.500, 0.500, 0.500)
Ni (0.000, 0.500, 0.250)
Ni (0.000, 0.500, 0.750)
Ni (0.500, 0.000, 0.250)
Ni (0.500, 0.000, 0.750)
Ge (0.000, 0.000, 0.373)
Ge (0.000, 0.000, 0.627)
Ge (0.500, 0.500, 0.127)
Ge (0.500, 0.500, 0.873)

Peak list (10 most intense, 10° ≤ 2θ ≤ 80°, by intensity)
2θ 36.46, I = 100.0; 2θ 35.41, I = 97.3; 2θ 44.92, I = 64.2; 2θ 58.46, I = 45.5; 2θ 31.35, I = 30.4; 2θ 51.98, I = 29.8; 2θ 71.09, I = 23.2; 2θ 77.27, I = 21.2; 2θ 65.41, I = 20.3; 2θ 66.04, I = 18.8